The following is a simulated X-ray diffraction stick pattern of Li2TbRhO4. It was derived from a GGA-PBE-relaxed structure, using λ = 1.5418 Å (Cu Kα).
Intensities are scaled so that the largest is 100.

Cell and atoms:
Unit cell a=5.2096 b=3.2826 c=5.3950 alpha=90.00 beta=107.58 gamma=90.00
Atoms (fractional coordinates):
Li 0.0000 0.0000 0.0000
Li 0.5000 0.5000 0.0000
Tb 0.0000 0.5000 0.5000
Rh 0.5000 0.0000 0.5000
O 0.2475 0.0000 0.7516
O 0.2993 0.5000 0.2685
O 0.7007 0.5000 0.7315
O 0.7525 0.0000 0.2484

Top 12 peaks for 2θ from 10° to 80°, low angle first:
| 2θ (°) | I/Imax |
| --- | --- |
| 17.24 | 100.0 |
| 32.70 | 36.9 |
| 34.44 | 23.4 |
| 34.89 | 11.4 |
| 35.06 | 19.1 |
| 36.17 | 10.9 |
| 39.79 | 41.2 |
| 42.27 | 17.2 |
| 44.11 | 18.0 |
| 52.74 | 11.7 |
| 58.57 | 12.6 |
| 59.05 | 13.3 |